(1)
Diffraction record for AcIn2Pd4Pb. The powder X-ray diffraction pattern is simulated, not measured: it uses a DFT-relaxed cell (PBE, Alexandria) and a wavelength of 1.5418 Å.

The 12 most intense peaks (10° ≤ 2θ ≤ 90°), low angle first:
2θ/deg	d (Å)	I/Imax
22.9	3.880	19
25.4	3.510	14
33.6	2.670	88
38.7	2.328	100
52.1	1.755	25
55.2	1.663	13
55.9	1.646	7
56.5	1.630	9
66.8	1.401	24
70.0	1.344	27
83.0	1.164	13
83.5	1.158	6

```
data_AcIn2Pd4Pb
_symmetry_space_group_name_H-M 'P 1'
_symmetry_Int_Tables_number 1
_cell_length_a 9.8774
_cell_length_b 9.8774
_cell_length_c 9.8774
_cell_angle_alpha 27.26
_cell_angle_beta 27.26
_cell_angle_gamma 27.26
loop_
_symmetry_equiv_pos_as_xyz
'x,y,z'
loop_
_atom_site_label
_atom_site_fract_x
_atom_site_fract_y
_atom_site_fract_z
Ac1 0.0000 0.0000 0.0000
In1 0.2458 0.2458 0.2458
In2 0.7542 0.7542 0.7542
Pd1 0.1167 0.1167 0.1167
Pd2 0.3980 0.3980 0.3980
Pd3 0.6020 0.6020 0.6020
Pd4 0.8833 0.8833 0.8833
Pb1 0.5000 0.5000 0.5000
```

---

(2)
Diffraction record for AcPmInPb. The powder X-ray diffraction pattern is simulated, not measured: it uses a DFT-relaxed cell (PBE, Alexandria) and a wavelength of 1.5418 Å.

The 12 most intense peaks (10° ≤ 2θ ≤ 90°), low angle first:
2θ/deg	d (Å)	I/Imax
27.8	3.207	100
28.5	3.131	26
29.1	3.072	32
34.8	2.580	76
35.2	2.547	23
37.0	2.427	29
39.6	2.278	24
47.8	1.904	16
52.0	1.757	15
55.3	1.661	18
55.7	1.651	15
70.4	1.337	15

```
data_AcPmInPb
_symmetry_space_group_name_H-M 'P 1'
_symmetry_Int_Tables_number 1
_cell_length_a 4.5562
_cell_length_b 4.8540
_cell_length_c 12.2888
_cell_angle_alpha 90.00
_cell_angle_beta 90.00
_cell_angle_gamma 90.00
loop_
_symmetry_equiv_pos_as_xyz
'x,y,z'
loop_
_atom_site_label
_atom_site_fract_x
_atom_site_fract_y
_atom_site_fract_z
Ac1 0.0000 0.0000 0.0000
Ac2 0.0000 0.5000 0.5000
Pm1 0.5000 0.0000 0.7251
Pm2 0.5000 0.5000 0.2251
In1 0.5000 0.0000 0.4419
In2 0.5000 0.5000 0.9419
Pb1 0.0000 0.0000 0.2742
Pb2 0.0000 0.5000 0.7742
```